For LiV5O10, the PBE+U geometry in Alexandria gives the calculated powder diffraction line list in this record (Cu Kα X-rays).

Cell and atoms:
```
LiV5O10
1.0
5.1302 0.0000 0.0000
0.9102 5.0745 0.0000
2.3280 2.1362 7.2049
Li V O
1 5 10
Cartesian
0.0000 0.0000 0.0000
2.4215 3.8552 4.1203
5.6166 4.9244 6.4200
4.9251 2.4361 4.9963
5.0472 5.2760 3.2228
4.3345 2.8048 1.8185
3.4674 4.4086 2.5431
4.1924 4.2850 5.1127
5.0021 6.8192 6.3737
2.7236 2.3083 0.7691
3.4950 2.0498 3.6576
4.8691 0.8757 1.7855
6.4858 5.6487 4.5728
4.9389 3.3707 0.2730
5.7829 3.4091 3.1675
6.5285 3.2575 5.7646
```

The 10 most intense peaks (2θ from 10° to 90°), low angle first:
(hkl)	2θ/deg	Rel. int.
0 0 1	12.28	43.1
1 0 0	18.19	100.0
1 1 1	22.68	17.3
0 1 2	26.27	15.5
1 0 2	26.72	14.2
1 1 -1	31.85	13.0
1 1 3	35.65	14.5
1 1 -2	41.92	28.9
-1 2 1	43.17	33.0
2 1 3	43.60	32.0